Diffraction record for Nd3Gd3Te2Os. The XRD peak list is theoretical, not measured: it uses a PBE-relaxed structure and Cu Kα (weighted mean of Kα1 and Kα2).
Neutral-atom scattering factors, no anomalous dispersion.

Cell and atoms:
Cell lengths 8.524, 8.524, 4.099 Å; angles 90.00, 90.00, 120.00 degrees
Fractional coordinates of all 9 atoms:
Nd  0.000  0.401  0.000
Nd  0.401  0.000  0.000
Nd  0.599  0.599  0.000
Gd  0.000  0.764  0.500
Gd  0.236  0.236  0.500
Gd  0.764  0.000  0.500
Te  0.333  0.667  0.500
Te  0.667  0.333  0.500
Os  0.000  0.000  0.000

Main lines, most intense first (2θ = 10–90°):
2theta, d [Å], Rel. int.
32.65, 2.743, 1000
30.25, 2.954, 903
32.08, 2.790, 632
39.05, 2.307, 584
36.51, 2.461, 412
59.01, 1.565, 394
44.20, 2.049, 320
55.65, 1.652, 265
11.99, 7.382, 245
58.62, 1.575, 209



Diffraction record for NdGdP2Pd2. The XRD peak list is theoretical, not measured: it uses a PBE-relaxed structure and Cu Kα (weighted mean of Kα1 and Kα2).
Neutral-atom scattering factors, no anomalous dispersion.

Cell and atoms:
Cell lengths 4.206, 4.206, 7.779 Å; angles 90.00, 90.00, 120.00 degrees
Fractional coordinates of all 6 atoms:
Nd  0.000  0.000  0.000
Gd  0.000  0.000  0.500
P  0.333  0.667  0.255
P  0.667  0.333  0.745
Pd  0.333  0.667  0.742
Pd  0.667  0.333  0.258

Main lines, most intense first (2θ = 10–90°):
2theta, d [Å], Rel. int.
33.71, 2.659, 1000
43.01, 2.103, 438
65.36, 1.428, 245
55.73, 1.649, 235
72.88, 1.298, 210
27.03, 3.299, 165
24.44, 3.643, 147
46.71, 1.945, 113
78.27, 1.221, 85
78.83, 1.214, 73



Diffraction record for Nd2GdPt3Pb3. The XRD peak list is theoretical, not measured: it uses a PBE-relaxed structure and Cu Kα (weighted mean of Kα1 and Kα2).
Neutral-atom scattering factors, no anomalous dispersion.

Cell and atoms:
Cell lengths 4.100, 7.800, 7.800 Å; angles 119.83, 90.00, 90.00 degrees
Fractional coordinates of all 9 atoms:
Nd  0.000  0.204  0.796
Nd  0.000  0.796  0.204
Gd  0.000  0.610  0.610
Pt  0.000  0.208  0.208
Pt  0.500  0.539  0.865
Pt  0.500  0.865  0.539
Pb  0.500  0.204  0.463
Pb  0.500  0.463  0.204
Pb  0.500  0.946  0.946

Main lines, most intense first (2θ = 10–90°):
2theta, d [Å], Rel. int.
34.38, 2.608, 1000
31.65, 2.827, 960
41.64, 2.169, 515
35.09, 2.557, 358
39.97, 2.256, 334
44.18, 2.050, 310
61.11, 1.516, 294
64.25, 1.450, 275
57.65, 1.599, 252
40.08, 2.250, 168



Diffraction record for NdGdTl2Pd4. The XRD peak list is theoretical, not measured: it uses a PBE-relaxed structure and Cu Kα (weighted mean of Kα1 and Kα2).
Neutral-atom scattering factors, no anomalous dispersion.

Cell and atoms:
Cell lengths 4.692, 4.692, 9.005 Å; angles 90.00, 90.00, 120.00 degrees
Fractional coordinates of all 8 atoms:
Nd  0.000  0.000  0.000
Gd  0.667  0.333  0.500
Tl  0.333  0.667  0.254
Tl  0.333  0.667  0.746
Pd  0.000  0.000  0.342
Pd  0.000  0.000  0.658
Pd  0.667  0.333  0.165
Pd  0.667  0.333  0.835

Main lines, most intense first (2θ = 10–90°):
2theta, d [Å], Rel. int.
38.37, 2.346, 1000
37.24, 2.414, 679
29.62, 3.016, 633
54.55, 1.682, 223
68.65, 1.367, 221
66.41, 1.408, 179
69.39, 1.354, 175
49.21, 1.852, 160
64.07, 1.453, 147
46.10, 1.969, 135



Diffraction record for NdGd3Si4. The XRD peak list is theoretical, not measured: it uses a PBE-relaxed structure and Cu Kα (weighted mean of Kα1 and Kα2).
Neutral-atom scattering factors, no anomalous dispersion.

Cell and atoms:
Cell lengths 5.802, 3.883, 8.070 Å; angles 90.00, 90.23, 90.00 degrees
Fractional coordinates of all 8 atoms:
Nd  0.000  0.000  0.000
Gd  0.229  0.500  0.360
Gd  0.500  0.500  0.858
Gd  0.729  0.000  0.500
Si  0.242  0.000  0.640
Si  0.488  0.000  0.144
Si  0.738  0.500  0.220
Si  0.988  0.500  0.712

Main lines, most intense first (2θ = 10–90°):
2theta, d [Å], Rel. int.
29.82, 2.997, 1000
32.81, 2.730, 815
31.99, 2.798, 731
35.63, 2.520, 427
27.64, 3.227, 392
40.39, 2.233, 385
58.32, 1.582, 314
22.03, 4.035, 259
46.78, 1.942, 241
36.77, 2.444, 237



Diffraction record for NdGdSi2. The XRD peak list is theoretical, not measured: it uses a PBE-relaxed structure and Cu Kα (weighted mean of Kα1 and Kα2).
Neutral-atom scattering factors, no anomalous dispersion.

Cell and atoms:
Cell lengths 3.905, 8.135, 5.842 Å; angles 90.00, 90.00, 90.00 degrees
Fractional coordinates of all 8 atoms:
Nd  0.000  0.071  0.000
Nd  0.500  0.929  0.500
Gd  0.000  0.570  0.728
Gd  0.500  0.430  0.228
Si  0.000  0.220  0.488
Si  0.000  0.708  0.238
Si  0.500  0.292  0.738
Si  0.500  0.780  0.988

Main lines, most intense first (2θ = 10–90°):
2theta, d [Å], Rel. int.
29.63, 3.015, 1000
32.57, 2.749, 815
31.77, 2.817, 729
36.53, 2.460, 474
35.38, 2.537, 428
40.11, 2.248, 388
27.47, 3.246, 387
51.60, 1.771, 340
57.93, 1.592, 314
26.71, 3.338, 310



Diffraction record for NdGdZn2Sn2. The XRD peak list is theoretical, not measured: it uses a PBE-relaxed structure and Cu Kα (weighted mean of Kα1 and Kα2).
Neutral-atom scattering factors, no anomalous dispersion.

Cell and atoms:
Cell lengths 4.547, 4.547, 16.237 Å; angles 90.00, 90.00, 120.00 degrees
Fractional coordinates of all 12 atoms:
Nd  0.000  0.000  0.000
Nd  0.000  0.000  0.500
Gd  0.000  0.000  0.250
Gd  0.000  0.000  0.750
Zn  0.333  0.667  0.160
Zn  0.333  0.667  0.340
Zn  0.667  0.333  0.660
Zn  0.667  0.333  0.840
Sn  0.333  0.667  0.617
Sn  0.333  0.667  0.883
Sn  0.667  0.333  0.117
Sn  0.667  0.333  0.383

Main lines, most intense first (2θ = 10–90°):
2theta, d [Å], Rel. int.
31.66, 2.826, 1000
39.64, 2.274, 594
51.59, 1.772, 255
66.96, 1.397, 233
61.22, 1.514, 179
28.02, 3.184, 148
45.38, 1.999, 130
71.93, 1.313, 103
44.65, 2.030, 75
88.76, 1.102, 69



Diffraction record for NdGdZn6Sn3. The XRD peak list is theoretical, not measured: it uses a PBE-relaxed structure and Cu Kα (weighted mean of Kα1 and Kα2).
Neutral-atom scattering factors, no anomalous dispersion.

Cell and atoms:
Cell lengths 7.969, 7.969, 4.243 Å; angles 90.00, 90.00, 120.00 degrees
Fractional coordinates of all 11 atoms:
Nd  0.000  0.000  0.000
Gd  0.667  0.333  0.000
Zn  0.064  0.671  0.500
Zn  0.148  0.486  0.000
Zn  0.329  0.392  0.500
Zn  0.338  0.852  0.000
Zn  0.514  0.662  0.000
Zn  0.608  0.936  0.500
Sn  0.340  0.062  0.500
Sn  0.723  0.660  0.500
Sn  0.938  0.277  0.500

Main lines, most intense first (2θ = 10–90°):
2theta, d [Å], Rel. int.
30.78, 2.904, 1000
40.60, 2.222, 592
65.75, 1.420, 313
39.16, 2.300, 290
42.62, 2.121, 260
34.38, 2.608, 254
47.50, 1.914, 209
33.47, 2.677, 201
59.25, 1.559, 174
50.62, 1.803, 151



Diffraction record for Nd3GdTl2. The XRD peak list is theoretical, not measured: it uses a PBE-relaxed structure and Cu Kα (weighted mean of Kα1 and Kα2).
Neutral-atom scattering factors, no anomalous dispersion.

Cell and atoms:
Cell lengths 5.533, 5.533, 6.875 Å; angles 90.00, 90.00, 120.00 degrees
Fractional coordinates of all 6 atoms:
Nd  0.000  0.000  0.000
Nd  0.667  0.333  0.259
Nd  0.667  0.333  0.741
Gd  0.333  0.667  0.500
Tl  0.000  0.000  0.500
Tl  0.333  0.667  0.000

Main lines, most intense first (2θ = 10–90°):
2theta, d [Å], Rel. int.
32.36, 2.767, 1000
32.04, 2.793, 853
57.52, 1.602, 325
46.18, 1.966, 311
63.74, 1.460, 284
57.72, 1.597, 194
41.92, 2.155, 173
82.43, 1.170, 140
76.91, 1.240, 139
67.74, 1.383, 120



Diffraction record for NdGdZn2. The XRD peak list is theoretical, not measured: it uses a PBE-relaxed structure and Cu Kα (weighted mean of Kα1 and Kα2).
Neutral-atom scattering factors, no anomalous dispersion.

Cell and atoms:
Cell lengths 3.614, 5.152, 5.152 Å; angles 90.00, 90.00, 90.00 degrees
Fractional coordinates of all 4 atoms:
Nd  0.000  0.000  0.000
Gd  0.000  0.500  0.503
Zn  0.500  0.000  0.499
Zn  0.500  0.500  0.004

Main lines, most intense first (2θ = 10–90°):
2theta, d [Å], Rel. int.
34.97, 2.566, 1000
34.83, 2.576, 506
62.54, 1.485, 361
50.08, 1.821, 179
62.82, 1.479, 178
84.05, 1.152, 156
24.43, 3.643, 155
73.88, 1.283, 109
50.51, 1.807, 87
84.76, 1.144, 77



Diffraction record for GdNpNi. The XRD peak list is theoretical, not measured: it uses a PBE-relaxed structure and Cu Kα (weighted mean of Kα1 and Kα2).
Neutral-atom scattering factors, no anomalous dispersion.

Cell and atoms:
Cell lengths 4.690, 4.690, 4.690 Å; angles 60.00, 60.00, 60.00 degrees
Fractional coordinates of all 3 atoms:
Gd  0.000  0.000  0.000
Np  0.500  0.500  0.500
Ni  0.750  0.750  0.750

Main lines, most intense first (2θ = 10–90°):
2theta, d [Å], Rel. int.
38.39, 2.345, 1000
26.89, 3.316, 634
69.42, 1.354, 353
62.64, 1.483, 253
47.49, 1.915, 188
55.41, 1.658, 173
88.44, 1.105, 132
23.23, 3.829, 118
82.23, 1.172, 112
45.35, 2.000, 63



Diffraction record for PrGdNi2Pb. The XRD peak list is theoretical, not measured: it uses a PBE-relaxed structure and Cu Kα (weighted mean of Kα1 and Kα2).
Neutral-atom scattering factors, no anomalous dispersion.

Cell and atoms:
Cell lengths 3.760, 7.553, 7.553 Å; angles 31.17, 90.00, 90.00 degrees
Fractional coordinates of all 5 atoms:
Pr  0.000  0.000  0.000
Gd  0.000  0.277  0.277
Ni  0.500  0.432  0.432
Ni  0.500  0.836  0.836
Pb  0.500  0.641  0.641

Main lines, most intense first (2θ = 10–90°):
2theta, d [Å], Rel. int.
33.06, 2.710, 1000
34.30, 2.614, 678
28.68, 3.112, 486
38.05, 2.365, 348
57.49, 1.603, 309
44.66, 2.029, 230
55.34, 1.660, 189
48.41, 1.880, 181
63.18, 1.472, 156
57.25, 1.609, 148